Structure and simulated powder diffraction line list of Ca2AlH10BrO8 (a PBE-relaxed structure; Cu Kα, 1.54184 Å).

Principal peaks in the range 2θ = 5–70°, sorted by position:
two_theta  I/Imax  hkl
10.58  93  0 1 0
21.24  82  0 2 0
22.67  100  1 2 1
22.87  45  0 1 -2
25.14  38  0 2 2
30.82  48  2 1 0
31.05  82  1 1 3
37.81  76  2 3 0
37.99  42  1 -1 3
40.17  51  1 4 1

Crystal structure
abc: 5.802 9.008 9.956
angles: 79.04 89.95 71.41
Space group P-1 (No. 2)
Unique sites:
Ca1 0.213 0.076 0.404 [2 per cell]
Ca2 0.287 0.924 0.096 [2 per cell]
Al1 0.250 0.001 0.750 [2 per cell]
H1 0.022 0.426 0.256 [2 per cell]
H2 0.088 0.575 0.600 [2 per cell]
H3 0.092 0.775 0.860 [2 per cell]
H4 0.107 0.775 0.385 [2 per cell]
H5 0.115 0.224 0.884 [2 per cell]
H6 0.327 0.574 0.113 [2 per cell]
H7 0.392 0.775 0.616 [2 per cell]
H8 0.396 0.225 0.111 [2 per cell]
H9 0.407 0.225 0.636 [2 per cell]
H10 0.472 0.574 0.246 [2 per cell]
Br1 0.000 0.500 0.000 [1 per cell]
Br2 0.500 0.500 0.500 [1 per cell]
O1 0.006 0.122 0.604 [2 per cell]
O2 0.030 0.881 0.800 [2 per cell]
O3 0.054 0.372 0.353 [2 per cell]
O4 0.095 0.120 0.885 [2 per cell]
O5 0.405 0.881 0.615 [2 per cell]
O6 0.428 0.628 0.149 [2 per cell]
O7 0.468 0.122 0.700 [2 per cell]
O8 0.494 0.880 0.895 [2 per cell]

---

Structure and simulated powder diffraction line list of La4Rh3 (a PBE-relaxed structure; Cu Kα, 1.54184 Å).

Principal peaks in the range 2θ = 5–70°, sorted by position:
two_theta  I/Imax  hkl
27.97  18  2 2 0
31.35  100  3 1 0
37.28  47  3 2 1
44.92  9  4 2 0
47.24  12  3 3 2
49.48  12  4 2 2
51.65  32  4 3 1
55.80  8  5 2 1
63.56  21  6 1 1
67.24  10  5 4 1

Crystal structure
abc: 9.024 9.024 9.024
angles: 90.00 90.00 90.00
Space group I-43d (No. 220)
Unique sites:
La1 0.056 0.444 0.556 [16 per cell]
Rh1 0.000 0.250 0.875 [12 per cell]

---

Structure and simulated powder diffraction line list of Ni2P2Se3S3 (a PBE-relaxed structure; Cu Kα, 1.54184 Å).

Principal peaks in the range 2θ = 5–70°, sorted by position:
two_theta  I/Imax  hkl
13.21  99  0 0 1
26.60  24  0 0 2
34.73  100  -1 1 1
34.93  49  2 1 2
46.96  16  1 -1 3
47.17  15  1 2 3
47.30  17  2 1 -2
52.47  16  0 3 0
52.83  17  3 0 1
53.10  19  3 3 1

Crystal structure
abc: 5.972 6.010 6.995
angles: 82.05 73.39 60.53
Space group P1 (No. 1)
Unique sites:
Ni1 0.000 0.000 0.000 [1 per cell]
Ni2 0.334 0.348 0.001 [1 per cell]
P1 0.624 0.661 0.158 [1 per cell]
P2 0.712 0.671 0.831 [1 per cell]
Se1 0.103 0.315 0.756 [1 per cell]
Se2 0.239 0.022 0.238 [1 per cell]
Se3 0.744 0.029 0.757 [1 per cell]
S1 0.390 0.672 0.777 [1 per cell]
S2 0.597 0.328 0.220 [1 per cell]
S3 0.938 0.668 0.218 [1 per cell]

---

Structure and simulated powder diffraction line list of GdCoB4 (a PBE-relaxed structure; Cu Kα, 1.54184 Å).

Principal peaks in the range 2θ = 5–70°, sorted by position:
two_theta  I/Imax  hkl
21.56  21  1 2 0
26.18  65  0 0 1
27.76  29  1 3 0
31.19  86  0 4 0
34.16  19  1 2 1
38.50  45  1 3 1
41.16  100  0 4 1
44.01  23  1 4 1
47.10  21  2 3 1
63.56  22  0 4 2

Crystal structure
abc: 5.922 11.478 3.404
angles: 90.00 90.00 90.00
Space group Pbam (No. 55)
Unique sites:
Gd1 0.128 0.150 0.000 [4 per cell]
Co1 0.135 0.411 0.000 [4 per cell]
B1 0.022 0.690 0.500 [4 per cell]
B2 0.111 0.546 0.500 [4 per cell]
B3 0.140 0.967 0.500 [4 per cell]
B4 0.219 0.816 0.500 [4 per cell]

---

Structure and simulated powder diffraction line list of TbGa3Ru (a PBE-relaxed structure; Cu Kα, 1.54184 Å).

Principal peaks in the range 2θ = 5–70°, sorted by position:
two_theta  I/Imax  hkl
19.42  8  1 1 0
27.60  9  2 0 0
30.93  15  2 1 0
33.97  8  2 1 1
39.42  100  2 2 0
41.92  7  3 0 0
44.31  7  3 1 0
56.98  14  4 0 0
58.90  7  3 2 2
64.46  9  4 2 0

Crystal structure
abc: 6.465 6.465 6.465
angles: 90.00 90.00 90.00
Space group Pm-3m (No. 221)
Unique sites:
Tb1 0.000 0.000 0.500 [3 per cell]
Ga1 0.000 0.000 0.000 [1 per cell]
Ga2 0.290 0.290 0.290 [8 per cell]
Ru1 0.000 0.500 0.500 [3 per cell]